# VNiGe
Theoretical PXRD pattern, λ = 1.5418 Å (Cu Kα). Input: a cell relaxed with PBE.

Main lines, most intense first (2θ = 10–90°):
2theta  d [Å]  Rel. int.
40.77  2.213  100
45.81  1.981  54
38.34  2.348  53
49.07  1.857  50
48.40  1.881  41
38.61  2.332  29
52.71  1.737  27
47.30  1.922  21

Structural model:
```
data_VNiGe
_cell_length_a 5.994
_cell_length_b 3.713
_cell_length_c 7.026
_cell_angle_alpha 90.00
_cell_angle_beta 90.00
_cell_angle_gamma 90.00
_space_group_name_H-M_alt 'P n m a'
_space_group_IT_number 62
loop_
_space_group_symop_operation_xyz
'x,y,z'
'-x,-y,-z'
'-x+1/2,-y,z+1/2'
'x+1/2,y,-z+1/2'
'x+1/2,-y+1/2,-z+1/2'
'-x+1/2,y+1/2,z+1/2'
'-x,y+1/2,-z'
'x,-y+1/2,z'
loop_
_atom_site_label
_atom_site_type_symbol
_atom_site_fract_x
_atom_site_fract_y
_atom_site_fract_z
V1 V 0.026 0.250 0.181
Ni1 Ni 0.146 0.250 0.558
Ge1 Ge 0.242 0.750 0.376
```